The following is a calculated powder diffraction line list of GdYHg2. It was derived from a cell relaxed with GGA-PBE, using CuKα.
Lines closer than 0.1° are merged.

Crystal structure
Cell lengths 5.2985, 5.2985, 5.2985 Å; angles 60.00, 60.00, 60.00 degrees
Fractional positions:
Gd: 0.0000 0.0000 0.0000
Y: 0.5000 0.5000 0.5000
Hg: 0.2500 0.2500 0.2500
Hg: 0.7500 0.7500 0.7500

The 10 most intense peaks (2θ = 10–80°), in order of rising 2θ:
- 20.53°, rel. 2
- 23.75°, rel. 7
- 33.84°, rel. 100
- 39.90°, rel. 1
- 41.76°, rel. 2
- 48.60°, rel. 18
- 54.79°, rel. 3
- 60.53°, rel. 38
- 71.18°, rel. 12
- 76.24°, rel. 2